For Ac3Zn3Ag, a crystal structure in Alexandria, relaxed with PBE gives the computed XRD peak list in this record (Cu Kα (weighted mean of Kα1 and Kα2)).

Top 10 peaks for 15° ≤ 2θ ≤ 90°, low angle first:
d [Å]	two_theta	intensity	(hkl)
3.917	22.7	42	0 1 3
2.943	30.4	100	1 1 2
2.914	30.7	64	1 0 5
2.538	35.4	38	0 1 7
2.359	38.2	29	0 2 0
2.016	45.0	18	2 0 0
1.833	49.7	34	1 2 5
1.579	58.5	18	2 1 7
1.533	60.4	20	2 2 0
1.395	67.1	20	1 2 11

Atomic structure:
Lattice parameters (Å, degrees): 4.0318 4.7177 21.0762 90.00 90.00 90.00
Space group Imm2 (No. 44)
Inequivalent atoms, fractional coordinates:
Ac: 0.0000 0.0000 0.0000 x2
Ac: 0.0000 0.0000 0.3787 x2
Ac: 0.0000 0.5000 0.1878 x2
Zn: 0.0000 0.0000 0.5555 x2
Zn: 0.0000 0.0000 0.8257 x2
Zn: 0.0000 0.5000 0.6227 x2
Ag: 0.0000 0.5000 0.7529 x2